Nd2Dy5Ho12: calculated powder diffractogram (Cu Kα (weighted mean of Kα1 and Kα2)), based on a PBE-relaxed structure.
Intensities are scaled so that the largest is 100.

Atomic structure:
```
data_Nd2Dy5Ho12
_cell_length_a 6.1385
_cell_length_b 9.3727
_cell_length_c 11.1995
_cell_angle_alpha 90.04
_cell_angle_beta 100.51
_cell_angle_gamma 109.01
_symmetry_space_group_name_H-M 'P 1'
_symmetry_Int_Tables_number 1
_symmetry_space_group_name_Hall 'P 1'
loop_
_atom_site_label
_atom_site_type_symbol
_atom_site_fract_x
_atom_site_fract_y
_atom_site_fract_z
_atom_site_occupancy
Nd1 Nd 0.2102 0.4738 0.4197 1
Nd2 Nd 0.7898 0.5262 0.5803 1
Dy1 Dy 0.0000 0.0000 0.0000 1
Dy2 Dy 0.2653 0.8441 0.5268 1
Dy3 Dy 0.4738 0.3152 0.9472 1
Dy4 Dy 0.5262 0.6848 0.0528 1
Dy5 Dy 0.7347 0.1559 0.4732 1
Ho1 Ho 0.0525 0.3679 0.1036 1
Ho2 Ho 0.1060 0.7387 0.2093 1
Ho3 Ho 0.1581 0.1044 0.3145 1
Ho4 Ho 0.3133 0.2079 0.6326 1
Ho5 Ho 0.3689 0.5791 0.7395 1
Ho6 Ho 0.4202 0.9475 0.8428 1
Ho7 Ho 0.5798 0.0525 0.1572 1
Ho8 Ho 0.6311 0.4209 0.2605 1
Ho9 Ho 0.6867 0.7921 0.3674 1
Ho10 Ho 0.8419 0.8956 0.6855 1
Ho11 Ho 0.8940 0.2613 0.7907 1
Ho12 Ho 0.9475 0.6321 0.8964 1
```

Principal peaks in the range 2θ from 5° to 70°, most intense first:
(hkl), 2θ (°), d/Å, I/Imax
2 0 -1, 30.91, 2.893, 100
1 2 2, 35.84, 2.506, 51
3 2 1, 61.35, 1.511, 36
0 1 6, 51.61, 1.771, 24
3 -1 2, 51.55, 1.773, 12
4 0 -2, 64.39, 1.447, 9
-3 5 3, 61.40, 1.510, 7
-2 4 6, 64.47, 1.445, 3